Starting from a cell relaxed with PBE, the X-ray diffraction stick pattern of Ba3Tl6Cd2Pb was computed for Cu Kα (λ = 1.5418 Å).
Intensities are scaled so that the largest is 100.

Largest 10 diffraction maxima, in order of rising 2θ, 2θ from 10° to 90°:
two_theta	I/Imax
15.56	33
28.25	57
31.44	100
32.47	99
35.27	53
48.69	23
50.78	19
51.38	28
56.04	28
58.43	16

Crystal structure
a b c (Å): 6.564 6.564 11.400
angles (deg): 90.00 90.00 120.00
Sites, in units of the cell vectors:
Ba 0.000 0.000 0.000
Ba 0.333 0.667 0.590
Ba 0.667 0.333 0.410
Tl 0.171 0.341 0.259
Tl 0.171 0.829 0.259
Tl 0.341 0.171 0.741
Tl 0.659 0.829 0.259
Tl 0.829 0.171 0.741
Tl 0.829 0.659 0.741
Cd 0.333 0.667 0.934
Cd 0.667 0.333 0.066
Pb 0.000 0.000 0.500